Starting from DFT lattice parameters and positions (PBE+U), the XRD peak list of Li4Ni3O3F4 was calculated for a wavelength of 1.5418 Å.

The 10 most intense peaks (15° ≤ 2θ ≤ 90°), sorted by position:
2θ = 34.1°, intensity 68
2θ = 37.2°, intensity 17
2θ = 37.4°, intensity 22
2θ = 41.5°, intensity 43
2θ = 43.4°, intensity 100
2θ = 43.6°, intensity 48
2θ = 43.9°, intensity 25
2θ = 63.1°, intensity 28
2θ = 63.3°, intensity 54
2θ = 79.8°, intensity 25

Structure:
Cell: 14.666 14.666 14.666 Å, 168.46 168.46 16.34°
Atoms (fractional coordinates):
Li1 0.145 0.145 0.000
Li2 0.284 0.284 0.000
Li3 0.716 0.716 0.000
Li4 0.855 0.855 0.000
Ni1 0.000 0.000 0.000
Ni2 0.427 0.427 0.000
Ni3 0.573 0.573 0.000
O1 0.074 0.074 0.000
O2 0.500 0.500 0.000
O3 0.926 0.926 0.000
F1 0.215 0.215 0.000
F2 0.353 0.353 0.000
F3 0.647 0.647 0.000
F4 0.785 0.785 0.000